Calculated powder X-ray diffraction pattern
Compound: Na17Cd11Pd
Radiation: Cu Kα, 1.54184 Å
Structure: a PBE-relaxed structure
Neutral-atom scattering factors, no anomalous dispersion.

Cell and atoms:
Cell: 11.548 16.582 10.002 Å, 90.00 125.15 90.00°
Space group Cm (No. 8)
Symmetry-distinct sites (fractional):
Na  0.000  0.000  0.000 (multiplicity 2)
Na  0.005  0.342  0.679 (multiplicity 4)
Na  0.013  0.000  0.619 (multiplicity 2)
Na  0.107  0.151  0.867 (multiplicity 4)
Na  0.158  0.500  0.262 (multiplicity 2)
Na  0.171  0.500  0.913 (multiplicity 2)
Na  0.178  0.206  0.576 (multiplicity 4)
Na  0.215  0.138  0.265 (multiplicity 4)
Na  0.255  0.000  0.543 (multiplicity 2)
Na  0.371  0.296  0.954 (multiplicity 4)
Na  0.486  0.168  0.260 (multiplicity 4)
Cd  0.161  0.319  0.081 (multiplicity 4)
Cd  0.254  0.410  0.633 (multiplicity 4)
Cd  0.345  0.320  0.454 (multiplicity 4)
Cd  0.390  0.089  0.909 (multiplicity 4)
Cd  0.436  0.411  0.266 (multiplicity 4)
Cd  0.469  0.000  0.424 (multiplicity 2)
Pd  0.311  0.000  0.086 (multiplicity 2)

Peak list (10 most intense, 2θ = 10–90°, in order of rising 2θ)
d [Å]  Rel. int.  h k l
8.195  43  1 1 -1
4.769  55  1 3 0
4.729  100  2 2 -1
2.752  44  1 5 -2
2.735  48  1 3 2
2.724  42  4 0 -1
2.493  25  2 6 -1
2.483  47  3 5 -1
2.465  70  3 1 -4
2.268  20  5 1 -2